Starting from a PBE-relaxed structure, the powder X-ray diffraction pattern of Pu2SiSe4 was simulated for Cu Kα (weighted mean of Kα1 and Kα2).
No peak broadening, texture or thermal motion is included.

Most intense lines, 2θ from 15° to 90°, in order of rising 2θ:
- 18.48°, d 4.801, I = 82, hkl 1 1 0
- 30.18°, d 2.961, I = 66, hkl 1 1 2
- 35.62°, d 2.520, I = 100, hkl 2 0 2
- 37.47°, d 2.400, I = 50, hkl 2 2 0
- 48.84°, d 1.865, I = 36, hkl 3 1 2
- 66.40°, d 1.408, I = 33, hkl 4 2 2

Crystal structure
a = 6.7895 Å, b = 6.7895 Å, c = 7.5239 Å
α = 90.00°, β = 90.00°, γ = 90.00°
Space group I4/mmm (No. 139)
Unique sites:
1 Pu 0.0000 0.5000 0.2500 [4 per cell]
2 Si 0.0000 0.0000 0.0000 [2 per cell]
3 Se 0.2463 0.2463 0.5000 [8 per cell]